For Na2SeO5, a crystal structure in the Materials Project, relaxed with PBE gives the theoretical X-ray diffraction stick pattern in this record (Cu Ka).
Neutral-atom scattering factors, no anomalous dispersion.

Cell and atoms:
a = 6.097 Å, b = 6.097 Å, c = 9.474 Å
α = 90.00°, β = 90.00°, γ = 113.28°
Positions (direct):
1 Na 0.000 0.000 0.000
2 Na 0.000 0.000 0.500
3 Na 0.331 0.669 0.750
4 Na 0.669 0.331 0.250
5 Se 0.218 0.782 0.250
6 Se 0.782 0.218 0.750
7 O 0.038 0.344 0.634
8 O 0.038 0.344 0.866
9 O 0.085 0.915 0.750
10 O 0.344 0.038 0.134
11 O 0.344 0.038 0.366
12 O 0.656 0.962 0.634
13 O 0.656 0.962 0.866
14 O 0.915 0.085 0.250
15 O 0.962 0.656 0.134
16 O 0.962 0.656 0.366

Most intense lines, 2θ = 10–90°, by intensity:
2theta, d (Å), Rel. int.
18.40, 4.821, 100.0
19.79, 4.486, 80.7
18.73, 4.737, 67.4
15.82, 5.601, 63.8
25.68, 3.468, 60.8
17.41, 5.093, 42.8



For Y3Pu, a crystal structure in the Materials Project, relaxed with PBE gives the theoretical X-ray diffraction stick pattern in this record (Cu Ka).
Neutral-atom scattering factors, no anomalous dispersion.

Cell and atoms:
a = 7.201 Å, b = 7.201 Å, c = 5.482 Å
α = 90.00°, β = 90.00°, γ = 120.00°
Positions (direct):
1 Y 0.168 0.337 0.250
2 Y 0.168 0.832 0.250
3 Y 0.337 0.168 0.750
4 Y 0.663 0.832 0.250
5 Y 0.832 0.168 0.750
6 Y 0.832 0.663 0.750
7 Pu 0.333 0.667 0.750
8 Pu 0.667 0.333 0.250

Most intense lines, 2θ = 10–90°, by intensity:
2theta, d (Å), Rel. int.
33.05, 2.710, 100.0
28.63, 3.118, 24.3
32.67, 2.741, 22.9
61.64, 1.505, 22.0
21.58, 4.117, 21.0
50.71, 1.800, 19.9



For CsEr2Cu3S5, a crystal structure in the Materials Project, relaxed with PBE gives the theoretical X-ray diffraction stick pattern in this record (Cu Ka).
Neutral-atom scattering factors, no anomalous dispersion.

Cell and atoms:
a = 7.298 Å, b = 7.298 Å, c = 16.702 Å
α = 90.00°, β = 90.00°, γ = 148.63°
Positions (direct):
1 Cs 0.064 0.936 0.750
2 Cs 0.936 0.064 0.250
3 Er 0.192 0.808 0.092
4 Er 0.192 0.808 0.408
5 Er 0.808 0.192 0.592
6 Er 0.808 0.192 0.908
7 Cu 0.344 0.656 0.750
8 Cu 0.416 0.584 0.036
9 Cu 0.416 0.584 0.464
10 Cu 0.584 0.416 0.536
11 Cu 0.584 0.416 0.964
12 Cu 0.656 0.344 0.250
13 S 0.170 0.830 0.568
14 S 0.170 0.830 0.932
15 S 0.232 0.768 0.250
16 S 0.437 0.563 0.608
17 S 0.437 0.563 0.892
18 S 0.563 0.437 0.108
19 S 0.563 0.437 0.392
20 S 0.768 0.232 0.750
21 S 0.830 0.170 0.068
22 S 0.830 0.170 0.432

Most intense lines, 2θ = 10–90°, by intensity:
2theta, d (Å), Rel. int.
28.44, 3.138, 100.0
25.92, 3.438, 58.9
32.15, 2.784, 58.3
30.09, 2.970, 51.1
36.75, 2.446, 48.3
31.52, 2.838, 47.5



For Mg5Ge2N6, a crystal structure in the Materials Project, relaxed with PBE gives the theoretical X-ray diffraction stick pattern in this record (Cu Ka).
Neutral-atom scattering factors, no anomalous dispersion.

Cell and atoms:
a = 5.525 Å, b = 5.525 Å, c = 13.210 Å
α = 91.31°, β = 91.31°, γ = 58.73°
Positions (direct):
1 Mg 0.094 0.906 0.750
2 Mg 0.105 0.652 0.941
3 Mg 0.286 0.427 0.271
4 Mg 0.348 0.895 0.559
5 Mg 0.427 0.286 0.771
6 Mg 0.573 0.714 0.229
7 Mg 0.652 0.105 0.441
8 Mg 0.714 0.573 0.729
9 Mg 0.895 0.348 0.059
10 Mg 0.906 0.094 0.250
11 Ge 0.134 0.466 0.588
12 Ge 0.466 0.134 0.088
13 Ge 0.534 0.866 0.912
14 Ge 0.866 0.534 0.412
15 N 0.117 0.235 0.687
16 N 0.222 0.241 0.463
17 N 0.235 0.117 0.187
18 N 0.241 0.222 0.963
19 N 0.367 0.578 0.644
20 N 0.422 0.633 0.856
21 N 0.578 0.367 0.144
22 N 0.633 0.422 0.356
23 N 0.759 0.778 0.037
24 N 0.765 0.883 0.813
25 N 0.778 0.759 0.537
26 N 0.883 0.765 0.313

Most intense lines, 2θ = 10–90°, by intensity:
2theta, d (Å), Rel. int.
19.89, 4.464, 100.0
18.43, 4.813, 57.3
38.86, 2.317, 48.7
38.08, 2.363, 41.6
27.89, 3.199, 41.3
39.04, 2.307, 34.8



For TaVCN, a crystal structure in the Materials Project, relaxed with PBE gives the theoretical X-ray diffraction stick pattern in this record (Cu Ka).
Neutral-atom scattering factors, no anomalous dispersion.

Cell and atoms:
a = 5.282 Å, b = 5.282 Å, c = 5.282 Å
α = 33.78°, β = 33.78°, γ = 33.78°
Positions (direct):
1 Ta 0.000 0.000 0.000
2 V 0.513 0.513 0.513
3 C 0.249 0.249 0.249
4 N 0.755 0.755 0.755

Most intense lines, 2θ = 10–90°, by intensity:
2theta, d (Å), Rel. int.
35.86, 2.504, 100.0
41.71, 2.165, 97.3
17.82, 4.976, 70.8
34.26, 2.617, 45.0
60.30, 1.535, 31.9
36.10, 2.488, 31.4



For Te4Mo3WSe2S2, a crystal structure in the Materials Project, relaxed with PBE gives the theoretical X-ray diffraction stick pattern in this record (Cu Ka).
Neutral-atom scattering factors, no anomalous dispersion.

Cell and atoms:
a = 3.396 Å, b = 3.396 Å, c = 38.697 Å
α = 90.00°, β = 90.00°, γ = 120.00°
Positions (direct):
1 Te 0.000 0.000 0.000
2 Te 0.000 0.000 0.097
3 Te 0.000 0.000 0.376
4 Te 0.000 0.000 0.473
5 Mo 0.000 0.000 0.861
6 Mo 0.333 0.667 0.048
7 Mo 0.333 0.667 0.424
8 W 0.000 0.000 0.236
9 Se 0.333 0.667 0.818
10 Se 0.333 0.667 0.903
11 S 0.333 0.667 0.197
12 S 0.333 0.667 0.275

Most intense lines, 2θ = 10–90°, by intensity:
2theta, d (Å), Rel. int.
35.73, 2.513, 100.0
11.43, 7.739, 94.8
30.42, 2.939, 66.0
43.24, 2.092, 54.9
54.01, 1.698, 34.9
45.01, 2.014, 17.1